This entry pairs a crystal structure of Zn53Co7 with its theoretical X-ray powder pattern. Radiation: Cu Kα X-rays. Structure: a PBE-relaxed structure.
Lines closer than 0.1° are merged.

Atomic structure:
```
data_Zn53Co7
_symmetry_space_group_name_H-M 'P 1 2 1'
_symmetry_Int_Tables_number 3
_cell_length_a 11.251
_cell_length_b 7.719
_cell_length_c 11.265
_cell_angle_alpha 90.00
_cell_angle_beta 119.81
_cell_angle_gamma 90.00
loop_
_symmetry_equiv_pos_as_xyz
'x,y,z'
'-x,y,-z'
loop_
_atom_site_label
_atom_site_fract_x
_atom_site_fract_y
_atom_site_fract_z
_atom_site_occupancy
Zn1 0.000 0.037 0.000 1
Zn2 0.000 0.371 0.500 1
Zn3 0.016 0.066 0.628 1
Zn4 0.017 0.667 0.625 1
Zn5 0.072 0.535 0.886 1
Zn6 0.076 0.864 0.844 1
Zn7 0.116 0.374 0.339 1
Zn8 0.125 0.333 0.108 1
Zn9 0.129 0.733 0.111 1
Zn10 0.161 0.040 0.277 1
Zn11 0.187 0.375 0.757 1
Zn12 0.187 0.868 0.573 1
Zn13 0.222 0.708 0.384 1
Zn14 0.232 0.198 0.576 1
Zn15 0.256 0.041 0.069 1
Zn16 0.269 0.052 0.837 1
Zn17 0.283 0.692 0.811 1
Zn18 0.310 0.366 0.027 1
Zn19 0.341 0.715 0.068 1
Zn20 0.343 0.531 0.268 1
Zn21 0.387 0.202 0.313 1
Zn22 0.389 0.399 0.517 1
Zn23 0.391 0.000 0.515 1
Zn24 0.431 0.708 0.688 1
Zn25 0.433 0.390 0.774 1
Zn26 0.471 0.030 0.778 1
Zn27 0.500 0.212 0.000 1
Zn28 0.500 0.704 0.500 1
Zn29 0.500 0.870 0.000 1
Co1 0.076 0.204 0.860 1
Co2 0.216 0.537 0.575 1
Co3 0.360 0.870 0.284 1
Co4 0.500 0.541 0.000 1
```

Peak list (8 most intense, 5 to 70 degrees two-theta, by angle)
2theta  I (rel.)
35.11  7.5
40.72  22.0
41.98  12.9
42.08  8.0
42.36  24.2
42.49  47.1
42.86  100.0
43.87  8.7

***

This entry pairs a crystal structure of NdB2C2 with its theoretical X-ray powder pattern. Radiation: Cu Kα X-rays. Structure: a PBE-relaxed structure.
Lines closer than 0.1° are merged.

Atomic structure:
```
data_NdB2C2
_symmetry_space_group_name_H-M 'P 4/m b m'
_symmetry_Int_Tables_number 127
_symmetry_space_group_name_Hall '-P 4 2ab'
_cell_length_a 5.396
_cell_length_b 5.396
_cell_length_c 3.824
_cell_angle_alpha 90.00
_cell_angle_beta 90.00
_cell_angle_gamma 90.00
loop_
_atom_site_label
_atom_site_fract_x
_atom_site_fract_y
_atom_site_fract_z
_atom_site_occupancy
Nd1 0.000 0.000 0.000 1
B1 0.138 0.362 0.500 1
C1 0.161 0.661 0.500 1
```

Peak list (8 most intense, 5 to 70 degrees two-theta, by angle)
2theta  I (rel.)
23.30  80.0
33.18  100.0
40.94  40.4
47.67  11.9
53.66  28.8
53.72  19.6
59.28  28.9
69.64  10.2

***

This entry pairs a crystal structure of DyCu2S2 with its theoretical X-ray powder pattern. Radiation: Cu Kα X-rays. Structure: a PBE-relaxed structure.
Lines closer than 0.1° are merged.

Atomic structure:
```
data_DyCu2S2
_symmetry_space_group_name_H-M 'P -3 m 1'
_symmetry_Int_Tables_number 164
_symmetry_space_group_name_Hall '-P 3 2"'
_cell_length_a 3.9453
_cell_length_b 3.9453
_cell_length_c 6.3560
_cell_angle_alpha 90.00
_cell_angle_beta 90.00
_cell_angle_gamma 120.00
loop_
_atom_site_label
_atom_site_fract_x
_atom_site_fract_y
_atom_site_fract_z
_atom_site_occupancy
Dy1 0.0000 0.0000 0.0000 1
Cu1 0.3333 0.6667 0.3395 1
S1 0.3333 0.6667 0.7340 1
```

Peak list (8 most intense, 5 to 70 degrees two-theta, by angle)
2theta  I (rel.)
13.93  14.3
29.69  100.0
38.69  68.3
42.68  14.7
46.01  46.1
55.72  16.9
61.64  16.8
64.55  24.7

***

This entry pairs a crystal structure of NaSm3Ti2Sb2O14 with its theoretical X-ray powder pattern. Radiation: Cu Kα X-rays. Structure: a PBE-relaxed structure.
Lines closer than 0.1° are merged.

Atomic structure:
```
data_NaSm3Ti2Sb2O14
_symmetry_space_group_name_H-M 'C 1 2/m 1'
_symmetry_Int_Tables_number 12
_cell_length_a 12.636
_cell_length_b 7.443
_cell_length_c 7.295
_cell_angle_alpha 90.00
_cell_angle_beta 124.51
_cell_angle_gamma 90.00
loop_
_symmetry_equiv_pos_as_xyz
'x,y,z'
'-x,-y,-z'
'-x,y,-z'
'x,-y,z'
'x+1/2,y+1/2,z'
'-x+1/2,-y+1/2,-z'
'-x+1/2,y+1/2,-z'
'x+1/2,-y+1/2,z'
loop_
_atom_site_label
_atom_site_fract_x
_atom_site_fract_y
_atom_site_fract_z
_atom_site_occupancy
Na1 0.000 0.000 0.000 1
Sm1 0.000 0.000 0.500 1
Sm2 0.250 0.250 0.000 1
Ti1 0.000 0.500 0.000 1
Ti2 0.000 0.500 0.500 1
Sb1 0.250 0.250 0.500 1
O1 0.071 0.500 0.818 1
O2 0.123 0.300 0.576 1
O3 0.129 0.309 0.179 1
O4 0.130 0.000 0.873 1
O5 0.173 0.000 0.429 1
```

Peak list (8 most intense, 5 to 70 degrees two-theta, by angle)
2theta  I (rel.)
17.03  30.6
29.50  100.0
29.72  48.2
30.10  47.4
34.44  58.6
49.25  30.7
49.75  30.6
58.56  20.6

***

This entry pairs a crystal structure of CaTi8S16 with its theoretical X-ray powder pattern. Radiation: Cu Kα X-rays. Structure: a PBE-relaxed structure.
Lines closer than 0.1° are merged.

Atomic structure:
```
data_CaTi8S16
_symmetry_space_group_name_H-M 'P -3 m 1'
_symmetry_Int_Tables_number 164
_symmetry_space_group_name_Hall '-P 3 2"'
_cell_length_a 6.8404
_cell_length_b 6.8404
_cell_length_c 13.3771
_cell_angle_alpha 90.00
_cell_angle_beta 90.00
_cell_angle_gamma 120.00
loop_
_atom_site_label
_atom_site_fract_x
_atom_site_fract_y
_atom_site_fract_z
_atom_site_occupancy
Ca1 0.0000 0.0000 0.0000 1
Ti1 0.0000 0.0000 0.2623 1
Ti2 0.0045 0.5023 0.2572 1
S1 0.1669 0.3339 0.8514 1
S2 0.1674 0.3348 0.3643 1
S3 0.3333 0.6667 0.1479 1
S4 0.3333 0.6667 0.6394 1
```

Peak list (8 most intense, 5 to 70 degrees two-theta, by angle)
2theta  I (rel.)
13.24  100.0
33.08  79.0
40.69  69.2
51.29  24.9
53.59  27.9
55.46  11.3
64.44  9.3
69.40  12.3

***

This entry pairs a crystal structure of Tb2InAg with its theoretical X-ray powder pattern. Radiation: Cu Kα X-rays. Structure: a PBE-relaxed structure.
Lines closer than 0.1° are merged.

Atomic structure:
```
data_Tb2InAg
_symmetry_space_group_name_H-M 'P 4/m m m'
_symmetry_Int_Tables_number 123
_symmetry_space_group_name_Hall '-P 4 2'
_cell_length_a 3.709
_cell_length_b 3.709
_cell_length_c 7.509
_cell_angle_alpha 90.00
_cell_angle_beta 90.00
_cell_angle_gamma 90.00
loop_
_atom_site_label
_atom_site_fract_x
_atom_site_fract_y
_atom_site_fract_z
_atom_site_occupancy
Tb1 0.000 0.000 0.236 1
In1 0.500 0.500 0.500 1
Ag1 0.500 0.500 0.000 1
```

Peak list (8 most intense, 5 to 70 degrees two-theta, by angle)
2theta  I (rel.)
23.70  1.3
23.99  2.9
33.97  100.0
34.19  50.0
48.49  8.6
49.12  17.8
60.67  17.4
61.07  35.9

***

This entry pairs a crystal structure of CsP2H3O6 with its theoretical X-ray powder pattern. Radiation: Cu Kα X-rays. Structure: a PBE-relaxed structure.
Lines closer than 0.1° are merged.

Atomic structure:
```
data_CsP2H3O6
_symmetry_space_group_name_H-M 'P -1'
_symmetry_Int_Tables_number 2
_cell_length_a 7.493
_cell_length_b 7.705
_cell_length_c 7.977
_cell_angle_alpha 87.72
_cell_angle_beta 64.76
_cell_angle_gamma 61.34
loop_
_symmetry_equiv_pos_as_xyz
'x,y,z'
'-x,-y,-z'
loop_
_atom_site_label
_atom_site_fract_x
_atom_site_fract_y
_atom_site_fract_z
_atom_site_occupancy
Cs1 0.039 0.295 0.264 1
P1 0.353 0.020 0.633 1
P2 0.453 0.578 0.139 1
H1 0.076 0.796 0.257 1
H2 0.391 0.198 0.815 1
H3 0.494 0.675 0.681 1
O1 0.136 0.201 0.642 1
O2 0.235 0.792 0.187 1
O3 0.347 0.406 0.877 1
O4 0.350 0.822 0.643 1
O5 0.373 0.460 0.290 1
O6 0.408 0.058 0.795 1
```

Peak list (8 most intense, 5 to 70 degrees two-theta, by angle)
2theta  I (rel.)
20.22  37.1
22.59  33.3
23.13  100.0
23.78  27.4
25.24  50.1
25.67  25.4
27.57  35.1
37.51  28.0

***

> Number 5 is which compound?

CaTi8S16